Cu2B2SeS3: computed powder XRD pattern (a wavelength of 1.5418 Å), based on a GGA-PBE-relaxed structure.
Intensities are scaled so that the largest is 100.

Structure:
```
Cu2B2SeS3
1.0
10.4735 0.0000 0.0000
0.0000 5.0475 0.0000
-2.4508 0.0000 4.5339
Cu B Se S
4 4 2 6
Direct
0.1335 0.0000 0.3725
0.3665 0.5000 0.6275
0.6335 0.5000 0.3725
0.8665 0.0000 0.6275
0.1288 0.5245 0.8887
0.3712 0.0245 0.1113
0.6288 0.0245 0.8887
0.8712 0.5245 0.1113
0.0000 0.3131 0.5000
0.5000 0.8131 0.5000
0.0000 0.7160 0.0000
0.2501 0.2690 0.1920
0.2499 0.7690 0.8080
0.5000 0.2160 0.0000
0.7499 0.2690 0.8080
0.7501 0.7690 0.1920
```

Most intense lines, 2θ = 5–70°, in order of rising 2θ:
d = 4.534 Å, I 27
d = 4.427 Å, I 15
d = 2.858 Å, I 75
d = 2.821 Å, I 100
d = 2.623 Å, I 29
d = 2.235 Å, I 26
d = 2.197 Å, I 22
d = 1.803 Å, I 34
d = 1.733 Å, I 22
d = 1.701 Å, I 47

Li2Mg3AlPd2: computed powder XRD pattern (a wavelength of 1.5418 Å), based on a GGA-PBE-relaxed structure.
Intensities are scaled so that the largest is 100.

Structure:
```
Li2Mg3AlPd2
1.0
4.4987 0.0000 0.0000
0.0000 4.4987 0.0000
0.0000 0.0000 6.3316
Li Mg Al Pd
2 3 1 2
Direct
0.0000 0.5000 0.2413
0.5000 0.0000 0.7587
0.0000 0.0000 0.0000
0.0000 0.0000 0.5000
0.5000 0.5000 0.5000
0.5000 0.5000 0.0000
0.0000 0.5000 0.7675
0.5000 0.0000 0.2325
```

Most intense lines, 2θ = 5–70°, in order of rising 2θ:
d = 3.667 Å, I 100
d = 3.181 Å, I 12
d = 3.166 Å, I 6
d = 2.249 Å, I 34
d = 2.244 Å, I 65
d = 1.917 Å, I 32
d = 1.911 Å, I 14
d = 1.591 Å, I 11
d = 1.459 Å, I 6
d = 1.456 Å, I 12

Ge3Ir2Se3: computed powder XRD pattern (a wavelength of 1.5418 Å), based on a GGA-PBE-relaxed structure.
Intensities are scaled so that the largest is 100.

Structure:
```
Ge3Ir2Se3
1.0
8.7622 0.0000 0.0000
0.0000 8.7622 0.0000
0.0000 0.0000 8.7622
Ge Ir Se
12 8 12
Direct
0.0000 0.1401 0.3240
0.0000 0.1401 0.6760
0.0000 0.8599 0.3240
0.0000 0.8599 0.6760
0.1401 0.3240 0.0000
0.1401 0.6760 0.0000
0.3240 0.0000 0.1401
0.3240 0.0000 0.8599
0.6760 0.0000 0.1401
0.6760 0.0000 0.8599
0.8599 0.3240 0.0000
0.8599 0.6760 0.0000
0.2542 0.2542 0.2542
0.2542 0.2542 0.7458
0.2542 0.7458 0.2542
0.2542 0.7458 0.7458
0.7458 0.2542 0.2542
0.7458 0.2542 0.7458
0.7458 0.7458 0.2542
0.7458 0.7458 0.7458
0.1625 0.5000 0.3514
0.1625 0.5000 0.6486
0.3514 0.1625 0.5000
0.3514 0.8375 0.5000
0.5000 0.3514 0.1625
0.5000 0.3514 0.8375
0.5000 0.6486 0.1625
0.5000 0.6486 0.8375
0.6486 0.1625 0.5000
0.6486 0.8375 0.5000
0.8375 0.5000 0.3514
0.8375 0.5000 0.6486
```

Most intense lines, 2θ = 5–70°, in order of rising 2θ:
d = 4.381 Å, I 99
d = 3.098 Å, I 55
d = 2.771 Å, I 63
d = 2.529 Å, I 29
d = 2.342 Å, I 24
d = 1.959 Å, I 100
d = 1.789 Å, I 71
d = 1.718 Å, I 19
d = 1.503 Å, I 16
d = 1.385 Å, I 21

Gd2ErTl2Cd4: computed powder XRD pattern (a wavelength of 1.5418 Å), based on a GGA-PBE-relaxed structure.
Intensities are scaled so that the largest is 100.

Structure:
```
Gd2ErTl2Cd4
1.0
4.5791 0.0000 0.0000
0.0000 6.5328 3.8031
0.0000 -6.5328 3.8031
Gd Er Tl Cd
2 1 2 4
Direct
0.0000 0.2131 0.7869
0.0000 0.7869 0.2131
0.0000 0.3601 0.3601
0.5000 0.1213 0.4519
0.5000 0.4519 0.1213
0.0000 0.7824 0.7824
0.5000 0.0244 0.0244
0.5000 0.5461 0.7861
0.5000 0.7861 0.5461
```

Most intense lines, 2θ = 5–70°, in order of rising 2θ:
d = 2.926 Å, I 38
d = 2.915 Å, I 81
d = 2.670 Å, I 100
d = 2.659 Å, I 52
d = 2.489 Å, I 21
d = 2.475 Å, I 39
d = 2.290 Å, I 49
d = 2.189 Å, I 36
d = 2.177 Å, I 37
d = 1.681 Å, I 24

NdDy2Tl2Cd4: computed powder XRD pattern (a wavelength of 1.5418 Å), based on a GGA-PBE-relaxed structure.
Intensities are scaled so that the largest is 100.

Structure:
```
NdDy2Tl2Cd4
1.0
4.6089 0.0000 0.0000
0.0000 6.6360 3.7781
0.0000 -6.6360 3.7781
Nd Dy Tl Cd
1 2 2 4
Direct
0.0000 0.0000 0.0000
0.0000 0.4239 0.8496
0.0000 0.8496 0.4239
0.5000 0.0938 0.7550
0.5000 0.7550 0.0938
0.0000 0.4324 0.4324
0.5000 0.1874 0.4256
0.5000 0.4256 0.1874
0.5000 0.6661 0.6661
```

Most intense lines, 2θ = 5–70°, in order of rising 2θ:
d = 2.940 Å, I 75
d = 2.922 Å, I 42
d = 2.693 Å, I 46
d = 2.674 Å, I 100
d = 2.504 Å, I 22
d = 2.493 Å, I 19
d = 2.304 Å, I 48
d = 2.190 Å, I 33
d = 1.697 Å, I 20
d = 1.691 Å, I 19

CdCu2SnSeS3: computed powder XRD pattern (a wavelength of 1.5418 Å), based on a GGA-PBE-relaxed structure.
Intensities are scaled so that the largest is 100.

Structure:
```
CdCu2SnSeS3
1.0
8.0397 0.0000 0.0000
0.0000 8.0508 0.0000
-3.9853 0.0000 5.5738
Cd Cu Sn Se S
2 4 2 2 6
Direct
0.0000 0.0000 0.0000
0.5000 0.5000 0.0000
0.4972 0.2378 0.4816
0.4972 0.7622 0.4816
0.9972 0.2622 0.4816
0.9972 0.7378 0.4816
0.0111 0.5000 0.9972
0.5111 0.0000 0.9972
0.1177 0.0000 0.7093
0.6177 0.5000 0.7093
0.1076 0.5000 0.7141
0.1440 0.2587 0.2728
0.1440 0.7413 0.2728
0.6076 0.0000 0.7141
0.6440 0.2413 0.2728
0.6440 0.7587 0.2728
```

Most intense lines, 2θ = 5–70°, in order of rising 2θ:
d = 3.266 Å, I 100
d = 3.251 Å, I 36
d = 2.844 Å, I 10
d = 2.011 Å, I 30
d = 1.995 Å, I 28
d = 1.986 Å, I 27
d = 1.713 Å, I 30
d = 1.709 Å, I 9
d = 1.687 Å, I 10
d = 1.422 Å, I 9

NaDyFeS3: computed powder XRD pattern (a wavelength of 1.5418 Å), based on a GGA-PBE-relaxed structure.
Intensities are scaled so that the largest is 100.

Structure:
```
NaDyFeS3
1.0
7.9235 0.0000 0.0000
0.0000 3.8690 0.0000
-2.1345 0.0000 8.9681
Na Dy Fe S
2 2 2 6
Direct
0.2097 0.2500 0.2389
0.7903 0.7500 0.7611
0.3267 0.7500 0.8515
0.6733 0.2500 0.1485
0.0731 0.2500 0.5892
0.9269 0.7500 0.4108
0.0799 0.2500 0.8378
0.2191 0.7500 0.5355
0.4343 0.7500 0.1530
0.5657 0.2500 0.8470
0.7809 0.2500 0.4645
0.9201 0.7500 0.1622
```

Most intense lines, 2θ = 5–70°, in order of rising 2θ:
d = 6.657 Å, I 100
d = 3.458 Å, I 14
d = 3.119 Å, I 17
d = 2.989 Å, I 19
d = 2.929 Å, I 11
d = 2.740 Å, I 28
d = 2.731 Å, I 27
d = 2.387 Å, I 18
d = 2.179 Å, I 13
d = 1.892 Å, I 16

Nd3Mg3AgPt2: computed powder XRD pattern (a wavelength of 1.5418 Å), based on a GGA-PBE-relaxed structure.
Intensities are scaled so that the largest is 100.

Structure:
```
Nd3Mg3AgPt2
1.0
7.6758 0.0000 0.0000
-3.8379 6.6474 0.0000
0.0000 0.0000 4.1337
Nd Mg Ag Pt
3 3 1 2
Direct
0.0000 0.4212 0.0000
0.4212 0.0000 0.0000
0.5788 0.5788 0.0000
0.0000 0.7515 0.5000
0.2485 0.2485 0.5000
0.7515 0.0000 0.5000
0.0000 0.0000 0.0000
0.3333 0.6667 0.5000
0.6667 0.3333 0.5000
```

Most intense lines, 2θ = 5–70°, in order of rising 2θ:
d = 6.647 Å, I 31
d = 3.838 Å, I 45
d = 2.813 Å, I 85
d = 2.590 Å, I 100
d = 2.512 Å, I 20
d = 2.216 Å, I 33
d = 2.147 Å, I 27
d = 2.067 Å, I 22
d = 1.511 Å, I 20
d = 1.431 Å, I 21

CdPt17: computed powder XRD pattern (a wavelength of 1.5418 Å), based on a GGA-PBE-relaxed structure.
Intensities are scaled so that the largest is 100.

Structure:
```
CdPt17
1.0
5.5566 0.0000 0.0000
-2.7783 4.8121 0.0000
0.0000 0.0000 34.2204
Cd Pt
2 34
Direct
0.3333 0.6667 0.2884
0.6667 0.3333 0.7116
0.0000 0.0000 0.0000
0.0000 0.0000 0.2041
0.0000 0.0000 0.7959
0.0000 0.5000 0.0000
0.0027 0.5014 0.2045
0.1658 0.3317 0.7289
0.1658 0.8342 0.7289
0.1667 0.3335 0.1363
0.1666 0.3331 0.9319
0.1667 0.8333 0.1363
0.1666 0.8334 0.9319
0.3317 0.1658 0.2711
0.3331 0.1666 0.0681
0.3335 0.1667 0.8637
0.3333 0.6667 0.0683
0.3333 0.6667 0.8645
0.4986 0.5014 0.2045
0.4986 0.9973 0.2045
0.5000 0.0000 0.0000
0.5000 0.5000 0.0000
0.5014 0.0027 0.7955
0.5014 0.4986 0.7955
0.6667 0.3333 0.1355
0.6667 0.3333 0.9317
0.6665 0.8333 0.1363
0.6669 0.8334 0.9319
0.6683 0.8342 0.7289
0.8334 0.1666 0.0681
0.8333 0.1667 0.8637
0.8334 0.6669 0.0681
0.8333 0.6665 0.8637
0.8342 0.1658 0.2711
0.8342 0.6683 0.2711
0.9973 0.4986 0.7955
```

Most intense lines, 2θ = 5–70°, in order of rising 2θ:
d = 17.110 Å, I 83
d = 2.444 Å, I 24
d = 2.316 Å, I 40
d = 2.281 Å, I 28
d = 2.270 Å, I 100
d = 2.217 Å, I 17
d = 2.033 Å, I 35
d = 1.968 Å, I 61
d = 1.394 Å, I 17
d = 1.389 Å, I 33

KZrAgTeSe2: computed powder XRD pattern (a wavelength of 1.5418 Å), based on a GGA-PBE-relaxed structure.
Intensities are scaled so that the largest is 100.

Structure:
```
KZrAgTeSe2
1.0
8.5391 0.0000 0.0000
0.0000 4.0500 0.0000
-3.5196 0.0000 9.7105
K Zr Ag Te Se
2 2 2 2 4
Direct
0.2309 0.2500 0.2513
0.7691 0.7500 0.7487
0.3148 0.7500 0.8428
0.6852 0.2500 0.1572
0.0765 0.2500 0.6038
0.9235 0.7500 0.3962
0.2827 0.7500 0.5549
0.7173 0.2500 0.4451
0.1094 0.2500 0.8673
0.4530 0.7500 0.1273
0.5470 0.2500 0.8727
0.8906 0.7500 0.1327
```

Most intense lines, 2θ = 5–70°, in order of rising 2θ:
d = 7.586 Å, I 100
d = 3.236 Å, I 18
d = 3.140 Å, I 19
d = 2.934 Å, I 25
d = 2.851 Å, I 51
d = 2.700 Å, I 19
d = 2.620 Å, I 22
d = 2.325 Å, I 22
d = 2.119 Å, I 33
d = 2.025 Å, I 22

Zn5AsP3: computed powder XRD pattern (a wavelength of 1.5418 Å), based on a GGA-PBE-relaxed structure.
Intensities are scaled so that the largest is 100.

Structure:
```
Zn5AsP3
1.0
7.5312 0.0000 0.0000
-3.7656 6.5222 0.0000
0.0000 0.0000 3.0614
Zn As P
5 1 3
Direct
0.0000 0.2800 0.0000
0.2800 0.0000 0.0000
0.3333 0.6667 0.0000
0.6667 0.3333 0.0000
0.7200 0.7200 0.0000
0.0000 0.0000 0.5000
0.0000 0.5436 0.5000
0.4564 0.4564 0.5000
0.5436 0.0000 0.5000
```

Most intense lines, 2θ = 5–70°, in order of rising 2θ:
d = 3.766 Å, I 64
d = 3.061 Å, I 17
d = 2.465 Å, I 34
d = 2.375 Å, I 56
d = 2.232 Å, I 100
d = 2.174 Å, I 69
d = 1.920 Å, I 49
d = 1.883 Å, I 18
d = 1.773 Å, I 28
d = 1.344 Å, I 33

Er3Lu5Te: computed powder XRD pattern (a wavelength of 1.5418 Å), based on a GGA-PBE-relaxed structure.
Intensities are scaled so that the largest is 100.

Structure:
```
Er3Lu5Te
1.0
9.0565 0.0000 0.0000
-4.5283 7.8432 0.0000
0.0000 0.0000 3.7063
Er Lu Te
3 5 1
Direct
0.0000 0.2775 0.0000
0.2775 0.0000 0.0000
0.7225 0.7225 0.0000
0.0000 0.6137 0.5000
0.3333 0.6667 0.0000
0.3863 0.3863 0.5000
0.6137 0.0000 0.5000
0.6667 0.3333 0.0000
0.0000 0.0000 0.5000
```

Most intense lines, 2θ = 5–70°, in order of rising 2θ:
d = 2.964 Å, I 38
d = 2.868 Å, I 100
d = 2.694 Å, I 56
d = 2.614 Å, I 78
d = 2.315 Å, I 25
d = 1.932 Å, I 14
d = 1.853 Å, I 16
d = 1.619 Å, I 36
d = 1.512 Å, I 30
d = 1.445 Å, I 14

What did the second record say?
Li2Mg3AlPd2: computed powder XRD pattern (a wavelength of 1.5418 Å), based on a GGA-PBE-relaxed structure.
Intensities are scaled so that the largest is 100.

Structure:
```
Li2Mg3AlPd2
1.0
4.4987 0.0000 0.0000
0.0000 4.4987 0.0000
0.0000 0.0000 6.3316
Li Mg Al Pd
2 3 1 2
Direct
0.0000 0.5000 0.2413
0.5000 0.0000 0.7587
0.0000 0.0000 0.0000
0.0000 0.0000 0.5000
0.5000 0.5000 0.5000
0.5000 0.5000 0.0000
0.0000 0.5000 0.7675
0.5000 0.0000 0.2325
```

Most intense lines, 2θ = 5–70°, in order of rising 2θ:
d = 3.667 Å, I 100
d = 3.181 Å, I 12
d = 3.166 Å, I 6
d = 2.249 Å, I 34
d = 2.244 Å, I 65
d = 1.917 Å, I 32
d = 1.911 Å, I 14
d = 1.591 Å, I 11
d = 1.459 Å, I 6
d = 1.456 Å, I 12